Entry 1:
This entry pairs a crystal structure of Tb3Ge4Rh2 with its simulated PXRD pattern. Radiation: CuKα. Structure: a PBE-relaxed structure.
Kinematic intensities with the Lorentz-polarization factor, no thermal factor.

Top 12 peaks for 10 to 90 degrees two-theta, by intensity:
| 2theta | I_rel |
| --- | --- |
| 33.55 | 100 |
| 41.91 | 61 |
| 42.15 | 58 |
| 32.56 | 52 |
| 34.27 | 51 |
| 34.54 | 47 |
| 55.61 | 33 |
| 33.23 | 27 |
| 64.05 | 21 |
| 23.92 | 20 |
| 38.29 | 20 |
| 39.03 | 19 |

Cell and atoms:
```
data_Tb3Ge4Rh2
_cell_length_a 10.8321
_cell_length_b 4.2877
_cell_length_c 8.2366
_cell_angle_alpha 90.00
_cell_angle_beta 108.94
_cell_angle_gamma 90.00
_symmetry_space_group_name_H-M 'C 1 2/m 1'
_symmetry_Int_Tables_number 12
loop_
_symmetry_equiv_pos_as_xyz
'x,y,z'
'-x,-y,-z'
'-x,y,-z'
'x,-y,z'
'x+1/2,y+1/2,z'
'-x+1/2,-y+1/2,-z'
'-x+1/2,y+1/2,-z'
'x+1/2,-y+1/2,z'
loop_
_atom_site_label
_atom_site_type_symbol
_atom_site_fract_x
_atom_site_fract_y
_atom_site_fract_z
Tb1 Tb 0.0000 0.0000 0.0000
Tb2 Tb 0.1257 0.5000 0.6954
Ge1 Ge 0.0875 0.0000 0.3985
Ge2 Ge 0.2103 0.5000 0.0738
Rh1 Rh 0.1888 0.5000 0.3678
```

Entry 2:
This entry pairs a crystal structure of Tb3Ge13Rh4 with its simulated PXRD pattern. Radiation: CuKα. Structure: a PBE-relaxed structure.
Kinematic intensities with the Lorentz-polarization factor, no thermal factor.

Top 12 peaks for 10 to 90 degrees two-theta, by intensity:
| 2theta | I_rel |
| --- | --- |
| 35.85 | 100 |
| 37.25 | 41 |
| 39.93 | 31 |
| 34.40 | 24 |
| 68.97 | 21 |
| 49.44 | 21 |
| 63.49 | 14 |
| 22.01 | 13 |
| 59.70 | 13 |
| 41.21 | 11 |
| 44.88 | 11 |
| 76.84 | 11 |

Cell and atoms:
```
data_Tb3Ge13Rh4
_cell_length_a 9.0319
_cell_length_b 9.0319
_cell_length_c 9.0319
_cell_angle_alpha 90.00
_cell_angle_beta 90.00
_cell_angle_gamma 90.00
_symmetry_space_group_name_H-M 'P m -3 n'
_symmetry_Int_Tables_number 223
_symmetry_space_group_name_Hall '-P 4n 2 3'
loop_
_atom_site_label
_atom_site_type_symbol
_atom_site_fract_x
_atom_site_fract_y
_atom_site_fract_z
Tb1 Tb 0.0000 0.2500 0.5000
Ge1 Ge 0.0000 0.0000 0.0000
Ge2 Ge 0.0000 0.3093 0.1471
Rh1 Rh 0.2500 0.2500 0.2500
```

Entry 3:
This entry pairs a crystal structure of Tb2Ge3Rh2 with its simulated PXRD pattern. Radiation: CuKα. Structure: a PBE-relaxed structure.
Kinematic intensities with the Lorentz-polarization factor, no thermal factor.

Top 12 peaks for 10 to 90 degrees two-theta, by intensity:
| 2theta | I_rel |
| --- | --- |
| 33.64 | 100 |
| 35.33 | 99 |
| 42.99 | 46 |
| 44.03 | 42 |
| 63.22 | 29 |
| 36.53 | 28 |
| 75.28 | 27 |
| 39.79 | 26 |
| 32.19 | 22 |
| 48.78 | 21 |
| 41.80 | 20 |
| 29.10 | 18 |

Cell and atoms:
```
data_Tb2Ge3Rh2
_cell_length_a 4.1134
_cell_length_b 18.1228
_cell_length_c 7.1276
_cell_angle_alpha 90.00
_cell_angle_beta 90.00
_cell_angle_gamma 90.00
_symmetry_space_group_name_H-M 'C m c m'
_symmetry_Int_Tables_number 63
_symmetry_space_group_name_Hall '-C 2c 2'
loop_
_atom_site_label
_atom_site_type_symbol
_atom_site_fract_x
_atom_site_fract_y
_atom_site_fract_z
Tb1 Tb 0.0000 0.0574 0.2500
Tb2 Tb 0.0000 0.1590 0.7500
Ge1 Ge 0.0000 0.2226 0.2500
Ge2 Ge 0.0000 0.4369 0.0674
Rh1 Rh 0.0000 0.3068 0.5488
```

Entry 4:
This entry pairs a crystal structure of TbGe4Rh4 with its simulated PXRD pattern. Radiation: CuKα. Structure: a PBE-relaxed structure.
Kinematic intensities with the Lorentz-polarization factor, no thermal factor.

Top 12 peaks for 10 to 90 degrees two-theta, by intensity:
| 2theta | I_rel |
| --- | --- |
| 34.46 | 100 |
| 35.99 | 42 |
| 56.17 | 27 |
| 41.62 | 25 |
| 44.40 | 23 |
| 62.33 | 21 |
| 60.31 | 19 |
| 29.99 | 18 |
| 46.78 | 16 |
| 87.02 | 13 |
| 86.13 | 12 |
| 47.41 | 12 |

Cell and atoms:
```
data_TbGe4Rh4
_cell_length_a 6.1382
_cell_length_b 6.1382
_cell_length_c 8.1933
_cell_angle_alpha 90.00
_cell_angle_beta 90.00
_cell_angle_gamma 90.00
_symmetry_space_group_name_H-M 'P 42/n m c'
_symmetry_Int_Tables_number 137
loop_
_symmetry_equiv_pos_as_xyz
'x,y,z'
'-x,-y,-z'
'-y+1/2,x,z+1/2'
'y+1/2,-x,-z+1/2'
'-x+1/2,-y+1/2,z'
'x+1/2,y+1/2,-z'
'y,-x+1/2,z+1/2'
'-y,x+1/2,-z+1/2'
'x+1/2,-y,-z'
'-x+1/2,y,z'
'-y,-x,-z+1/2'
'y,x,z+1/2'
'-x,y+1/2,-z'
'x,-y+1/2,z'
'y+1/2,x+1/2,-z+1/2'
'-y+1/2,-x+1/2,z+1/2'
loop_
_atom_site_label
_atom_site_type_symbol
_atom_site_fract_x
_atom_site_fract_y
_atom_site_fract_z
Tb1 Tb 0.2500 0.7500 0.2500
Ge1 Ge 0.0391 0.2500 0.0702
Rh1 Rh 0.0206 0.2500 0.3706
```

Entry 5:
This entry pairs a crystal structure of Tb3Ge2Rh with its simulated PXRD pattern. Radiation: CuKα. Structure: a PBE-relaxed structure.
Kinematic intensities with the Lorentz-polarization factor, no thermal factor.

Top 12 peaks for 10 to 90 degrees two-theta, by intensity:
| 2theta | I_rel |
| --- | --- |
| 31.86 | 100 |
| 35.03 | 91 |
| 42.75 | 64 |
| 30.48 | 58 |
| 38.12 | 56 |
| 32.72 | 50 |
| 27.14 | 42 |
| 41.46 | 38 |
| 27.72 | 34 |
| 39.15 | 34 |
| 34.40 | 33 |
| 62.22 | 30 |

Cell and atoms:
```
data_Tb3Ge2Rh
_cell_length_a 11.7623
_cell_length_b 4.2308
_cell_length_c 11.2662
_cell_angle_alpha 90.00
_cell_angle_beta 90.00
_cell_angle_gamma 90.00
_symmetry_space_group_name_H-M 'P n m a'
_symmetry_Int_Tables_number 62
loop_
_symmetry_equiv_pos_as_xyz
'x,y,z'
'-x,-y,-z'
'-x+1/2,-y,z+1/2'
'x+1/2,y,-z+1/2'
'x+1/2,-y+1/2,-z+1/2'
'-x+1/2,y+1/2,z+1/2'
'-x,y+1/2,-z'
'x,-y+1/2,z'
loop_
_atom_site_label
_atom_site_type_symbol
_atom_site_fract_x
_atom_site_fract_y
_atom_site_fract_z
Tb1 Tb 0.0526 0.2500 0.1292
Tb2 Tb 0.1215 0.7500 0.5542
Tb3 Tb 0.2251 0.2500 0.7990
Ge1 Ge 0.0083 0.7500 0.3114
Ge2 Ge 0.1878 0.7500 0.0037
Rh1 Rh 0.1308 0.2500 0.3709
```

Entry 6:
This entry pairs a crystal structure of YTcGe2Rh with its simulated PXRD pattern. Radiation: CuKα. Structure: a PBE-relaxed structure.
Kinematic intensities with the Lorentz-polarization factor, no thermal factor.

Top 12 peaks for 10 to 90 degrees two-theta, by intensity:
| 2theta | I_rel |
| --- | --- |
| 34.68 | 100 |
| 42.19 | 69 |
| 34.21 | 52 |
| 47.31 | 35 |
| 55.40 | 26 |
| 17.84 | 24 |
| 72.29 | 22 |
| 61.20 | 22 |
| 64.05 | 19 |
| 80.80 | 14 |
| 50.61 | 13 |
| 67.95 | 11 |

Cell and atoms:
```
data_YTcGe2Rh
_cell_length_a 4.2838
_cell_length_b 4.2838
_cell_length_c 9.9419
_cell_angle_alpha 90.00
_cell_angle_beta 90.00
_cell_angle_gamma 90.00
_symmetry_space_group_name_H-M 'I -4 m 2'
_symmetry_Int_Tables_number 119
_symmetry_space_group_name_Hall 'I -4 -2'
loop_
_atom_site_label
_atom_site_type_symbol
_atom_site_fract_x
_atom_site_fract_y
_atom_site_fract_z
Y1 Y 0.0000 0.0000 0.0000
Tc1 Tc 0.0000 0.5000 0.2500
Ge1 Ge 0.0000 0.0000 0.3712
Rh1 Rh 0.0000 0.5000 0.7500
```

Entry 7:
This entry pairs a crystal structure of Th3Ge6Rh5 with its simulated PXRD pattern. Radiation: CuKα. Structure: a PBE-relaxed structure.
Kinematic intensities with the Lorentz-polarization factor, no thermal factor.

Top 12 peaks for 10 to 90 degrees two-theta, by intensity:
| 2theta | I_rel |
| --- | --- |
| 35.09 | 100 |
| 35.79 | 61 |
| 42.38 | 40 |
| 35.43 | 37 |
| 29.16 | 36 |
| 56.39 | 20 |
| 33.30 | 19 |
| 41.03 | 18 |
| 38.41 | 15 |
| 22.94 | 13 |
| 72.80 | 12 |
| 60.45 | 11 |

Cell and atoms:
```
data_Th3Ge6Rh5
_cell_length_a 4.2660
_cell_length_b 13.1989
_cell_length_c 9.2946
_cell_angle_alpha 90.00
_cell_angle_beta 90.00
_cell_angle_gamma 90.00
_symmetry_space_group_name_H-M 'P m m n'
_symmetry_Int_Tables_number 59
loop_
_symmetry_equiv_pos_as_xyz
'x,y,z'
'-x,-y,-z'
'-x+1/2,-y+1/2,z'
'x+1/2,y+1/2,-z'
'x+1/2,-y,-z'
'-x+1/2,y,z'
'-x,y+1/2,-z'
'x,-y+1/2,z'
loop_
_atom_site_label
_atom_site_type_symbol
_atom_site_fract_x
_atom_site_fract_y
_atom_site_fract_z
Th1 Th 0.2500 0.0546 0.2462
Th2 Th 0.2500 0.7500 0.2547
Ge1 Ge 0.2500 0.0770 0.8968
Ge2 Ge 0.2500 0.2500 0.0642
Ge3 Ge 0.2500 0.2500 0.4625
Ge4 Ge 0.2500 0.5929 0.5224
Rh1 Rh 0.2500 0.0946 0.6246
Rh2 Rh 0.2500 0.6398 0.9703
Rh3 Rh 0.2500 0.7500 0.6987
```

Entry 8:
This entry pairs a crystal structure of Th2GeRh with its simulated PXRD pattern. Radiation: CuKα. Structure: a PBE-relaxed structure.
Kinematic intensities with the Lorentz-polarization factor, no thermal factor.

Top 12 peaks for 10 to 90 degrees two-theta, by intensity:
| 2theta | I_rel |
| --- | --- |
| 31.19 | 100 |
| 32.21 | 87 |
| 30.99 | 76 |
| 39.01 | 61 |
| 26.78 | 53 |
| 38.52 | 52 |
| 55.20 | 39 |
| 43.56 | 38 |
| 42.34 | 36 |
| 31.66 | 33 |
| 62.37 | 23 |
| 51.60 | 15 |

Cell and atoms:
```
data_Th2GeRh
_cell_length_a 5.9963
_cell_length_b 4.1551
_cell_length_c 8.4056
_cell_angle_alpha 90.00
_cell_angle_beta 109.51
_cell_angle_gamma 90.00
_symmetry_space_group_name_H-M 'P 1 21/m 1'
_symmetry_Int_Tables_number 11
loop_
_symmetry_equiv_pos_as_xyz
'x,y,z'
'-x,-y,-z'
'-x,y+1/2,-z'
'x,-y+1/2,z'
loop_
_atom_site_label
_atom_site_type_symbol
_atom_site_fract_x
_atom_site_fract_y
_atom_site_fract_z
Th1 Th 0.1906 0.2500 0.4095
Th2 Th 0.2792 0.7500 0.0601
Ge1 Ge 0.3654 0.7500 0.7012
Rh1 Rh 0.1263 0.2500 0.7992
```